Diffraction record for BaScTl. The X-ray powder pattern is computed, not measured: it uses a DFT-relaxed cell (PBE, Alexandria) and Cu Kα (λ = 1.5418 Å).
Neutral-atom scattering factors, no anomalous dispersion.

Peak list (8 most intense, 2θ = 10–90°, sorted by position)
d (Å), I/Imax
4.315, 22
3.630, 89
3.146, 100
2.683, 54
2.567, 63
1.989, 55
1.856, 23
1.504, 42

Lattice parameters (Å, degrees): 5.133 5.133 7.964 90.00 90.00 90.00
Fractional positions:
Ba (0.250, 0.250, 0.145)
Ba (0.750, 0.750, 0.855)
Sc (0.250, 0.750, 0.500)
Sc (0.750, 0.250, 0.500)
Tl (0.250, 0.250, 0.695)
Tl (0.750, 0.750, 0.305)